Calculated PXRD pattern
Compound: Tb2ThMoC4
Radiation: Cu Kα (weighted mean of Kα1 and Kα2)
Structure: a crystal structure in Alexandria, relaxed with PBE
Peak positions follow from Bragg's law for the DFT cell and can differ from measured ones.

Cell lengths 3.5394, 12.1898, 12.3327 Å; angles 90.00, 90.00, 90.00 degrees
Space group Cmcm (No. 63)
Unique sites:
Tb1 0.0000 0.1305 0.0403
Th1 0.0000 0.4012 0.2500
Mo1 0.0000 0.3357 0.7500
C1 0.0000 0.0691 0.2500
C2 0.0000 0.2338 0.6312
C3 0.0000 0.5000 0.0000

Peak list (8 most intense, 10° ≤ 2θ ≤ 90°, in order of falling intensity)
2θ = 30.02°, intensity 100.0, (1 1 2)
2θ = 36.69°, intensity 62.4, (1 3 2)
2θ = 26.15°, intensity 48.1, (0 2 3)
2θ = 29.31°, intensity 44.0, (0 4 0)
2θ = 28.96°, intensity 41.4, (0 0 4)
2θ = 34.38°, intensity 35.8, (1 3 1)
2θ = 50.38°, intensity 23.6, (1 3 5)
2θ = 41.67°, intensity 21.5, (0 4 4)